The following is a computed PXRD pattern of NaBe2H4. It was derived from a crystal structure in Alexandria, relaxed with GGA-PBE, using Cu Kα.
Lines closer than 0.1° are merged.

Peak list (10 most intense, 2θ from 10° to 90°, in order of rising 2θ)
2θ = 21.02°, 4.227 Å, I = 93; 2θ = 24.11°, 3.691 Å, I = 79; 2θ = 25.55°, 3.486 Å, I = 67; 2θ = 27.95°, 3.193 Å, I = 100; 2θ = 31.71°, 2.822 Å, I = 48; 2θ = 35.97°, 2.497 Å, I = 57; 2θ = 36.27°, 2.477 Å, I = 49; 2θ = 38.47°, 2.340 Å, I = 35; 2θ = 40.11°, 2.248 Å, I = 33; 2θ = 40.66°, 2.219 Å, I = 41

Cell and atoms:
abc: 5.140 5.152 6.302
angles: 97.42 97.47 92.79
Sites, in units of the cell vectors:
Na: 0.000 0.000 0.000
Na: 0.254 0.746 0.500
Be: 0.513 0.259 0.843
Be: 0.517 0.227 0.223
Be: 0.741 0.488 0.156
Be: 0.774 0.483 0.778
H: 0.308 0.070 0.793
H: 0.340 0.043 0.270
H: 0.490 0.508 0.747
H: 0.491 0.509 0.252
H: 0.740 0.199 0.721
H: 0.802 0.261 0.279
H: 0.929 0.693 0.207
H: 0.957 0.661 0.730

***

The following is a computed PXRD pattern of Li2TiSeO6. It was derived from a crystal structure in Alexandria, relaxed with GGA-PBE, using Cu Kα.
Lines closer than 0.1° are merged.

Peak list (10 most intense, 2θ from 10° to 90°, in order of rising 2θ)
2θ = 18.99°, 4.673 Å, I = 95; 2θ = 24.70°, 3.604 Å, I = 100; 2θ = 31.34°, 2.854 Å, I = 62; 2θ = 35.22°, 2.548 Å, I = 18; 2θ = 40.31°, 2.237 Å, I = 16; 2θ = 46.31°, 1.961 Å, I = 25; 2θ = 50.66°, 1.802 Å, I = 28; 2θ = 54.58°, 1.681 Å, I = 18; 2θ = 57.15°, 1.612 Å, I = 16; 2θ = 60.79°, 1.524 Å, I = 18

Cell and atoms:
abc: 5.097 5.097 4.673
angles: 90.00 90.00 90.00
Sites, in units of the cell vectors:
Li: 0.000 0.500 0.000
Li: 0.500 0.000 0.000
Ti: 0.000 0.000 0.644
Se: 0.500 0.500 0.662
O: 0.000 0.000 0.284
O: 0.263 0.263 0.782
O: 0.263 0.737 0.782
O: 0.500 0.500 0.310
O: 0.737 0.263 0.782
O: 0.737 0.737 0.782

***

The following is a computed PXRD pattern of Tl12AuO5. It was derived from a crystal structure in Alexandria, relaxed with GGA-PBE, using Cu Kα.
Lines closer than 0.1° are merged.

Peak list (10 most intense, 2θ from 10° to 90°, in order of rising 2θ)
2θ = 28.00°, 3.187 Å, I = 75; 2θ = 29.93°, 2.986 Å, I = 48; 2θ = 30.07°, 2.971 Å, I = 100; 2θ = 32.19°, 2.781 Å, I = 76; 2θ = 36.37°, 2.470 Å, I = 27; 2θ = 48.79°, 1.867 Å, I = 33; 2θ = 48.90°, 1.863 Å, I = 17; 2θ = 49.44°, 1.843 Å, I = 18; 2θ = 57.30°, 1.608 Å, I = 26; 2θ = 58.39°, 1.581 Å, I = 22

Cell and atoms:
abc: 6.457 6.457 12.918
angles: 94.64 94.64 119.86
Sites, in units of the cell vectors:
Tl: 0.039 0.370 0.115
Tl: 0.081 0.081 0.375
Tl: 0.161 0.537 0.626
Tl: 0.298 0.298 0.885
Tl: 0.370 0.039 0.115
Tl: 0.463 0.839 0.374
Tl: 0.537 0.161 0.626
Tl: 0.630 0.961 0.885
Tl: 0.702 0.702 0.115
Tl: 0.839 0.463 0.374
Tl: 0.919 0.919 0.625
Tl: 0.961 0.630 0.885
Au: 0.500 0.500 0.500
O: 0.000 0.000 0.000
O: 0.169 0.831 0.500
O: 0.331 0.669 0.000
O: 0.669 0.331 0.000
O: 0.831 0.169 0.500

***

The following is a computed PXRD pattern of Pr6InSn. It was derived from a crystal structure in Alexandria, relaxed with GGA-PBE, using Cu Kα.
Lines closer than 0.1° are merged.

Peak list (10 most intense, 2θ from 10° to 90°, in order of rising 2θ)
2θ = 30.92°, 2.892 Å, I = 100; 2θ = 35.85°, 2.505 Å, I = 50; 2θ = 51.61°, 1.771 Å, I = 36; 2θ = 61.39°, 1.510 Å, I = 42; 2θ = 64.43°, 1.446 Å, I = 12; 2θ = 75.94°, 1.253 Å, I = 4; 2θ = 76.09°, 1.251 Å, I = 2; 2θ = 84.26°, 1.149 Å, I = 18; 2θ = 86.95°, 1.121 Å, I = 11; 2θ = 87.07°, 1.119 Å, I = 5

Cell and atoms:
abc: 5.012 5.012 10.007
angles: 90.00 90.00 90.00
Sites, in units of the cell vectors:
Pr: 0.000 0.000 0.000
Pr: 0.000 0.000 0.500
Pr: 0.000 0.500 0.248
Pr: 0.000 0.500 0.752
Pr: 0.500 0.000 0.248
Pr: 0.500 0.000 0.752
In: 0.500 0.500 0.500
Sn: 0.500 0.500 0.000

***

The following is a computed PXRD pattern of Er2Zn5Au. It was derived from a crystal structure in Alexandria, relaxed with GGA-PBE, using Cu Kα.
Lines closer than 0.1° are merged.

Peak list (10 most intense, 2θ from 10° to 90°, in order of rising 2θ)
2θ = 14.78°, 5.992 Å, I = 17; 2θ = 29.63°, 3.015 Å, I = 44; 2θ = 33.64°, 2.664 Å, I = 100; 2θ = 35.09°, 2.557 Å, I = 49; 2θ = 37.31°, 2.410 Å, I = 29; 2θ = 40.20°, 2.243 Å, I = 22; 2θ = 42.98°, 2.104 Å, I = 40; 2θ = 45.41°, 1.997 Å, I = 24; 2θ = 46.73°, 1.944 Å, I = 20; 2θ = 67.76°, 1.383 Å, I = 22

Cell and atoms:
abc: 8.321 8.321 8.972
angles: 90.00 90.00 150.70
Sites, in units of the cell vectors:
Er: 0.000 0.000 0.000
Er: 0.000 0.000 0.500
Er: 0.192 0.808 0.750
Er: 0.808 0.192 0.250
Zn: 0.192 0.808 0.107
Zn: 0.192 0.808 0.393
Zn: 0.350 0.650 0.022
Zn: 0.350 0.650 0.478
Zn: 0.390 0.610 0.750
Zn: 0.610 0.390 0.250
Zn: 0.650 0.350 0.522
Zn: 0.650 0.350 0.978
Zn: 0.808 0.192 0.607
Zn: 0.808 0.192 0.893
Au: 0.451 0.549 0.250
Au: 0.549 0.451 0.750

***

The following is a computed PXRD pattern of Cs3Cd4Hg2. It was derived from a crystal structure in Alexandria, relaxed with GGA-PBE, using Cu Kα.
Lines closer than 0.1° are merged.

Peak list (10 most intense, 2θ from 10° to 90°, in order of rising 2θ)
2θ = 16.77°, 5.287 Å, I = 22; 2θ = 25.59°, 3.481 Å, I = 100; 2θ = 25.95°, 3.434 Å, I = 54; 2θ = 33.29°, 2.691 Å, I = 30; 2θ = 33.91°, 2.644 Å, I = 29; 2θ = 34.13°, 2.627 Å, I = 56; 2θ = 42.69°, 2.118 Å, I = 28; 2θ = 48.25°, 1.886 Å, I = 21; 2θ = 48.87°, 1.863 Å, I = 40; 2θ = 55.85°, 1.646 Å, I = 17

Cell and atoms:
abc: 7.462 7.462 10.456
angles: 99.49 99.49 42.29
Sites, in units of the cell vectors:
Cs: 0.000 0.000 0.000
Cs: 0.334 0.334 0.335
Cs: 0.666 0.666 0.665
Cd: 0.056 0.056 0.387
Cd: 0.275 0.275 0.948
Cd: 0.725 0.725 0.052
Cd: 0.944 0.944 0.613
Hg: 0.388 0.388 0.722
Hg: 0.612 0.612 0.278